Diffraction record for Sr2In5Pd4. The X-ray diffraction stick pattern is theoretical, not measured: it uses DFT lattice parameters and positions (PBE) and λ = 1.5418 Å (Cu Kα).
Kinematic intensities with the Lorentz-polarization factor, no thermal factor.

Largest 10 diffraction maxima, in order of rising 2θ, 2θ from 15° to 90°:
2θ/deg, I_rel
17.30, 39
17.75, 39
27.17, 31
33.97, 92
34.32, 47
36.29, 100
40.16, 32
40.47, 53
41.07, 42
42.30, 48

Structure:
Cell: 9.965 9.070 5.957 Å, 80.17 63.74 36.09°
Fractional positions:
Sr: 0.137 0.137 0.863
Sr: 0.863 0.863 0.137
In: 0.000 0.000 0.500
In: 0.250 0.250 0.250
In: 0.500 0.500 0.000
In: 0.500 0.500 0.500
In: 0.750 0.750 0.750
Pd: 0.216 0.525 0.475
Pd: 0.475 0.784 0.216
Pd: 0.525 0.216 0.784
Pd: 0.784 0.475 0.525

=====

Diffraction record for InMo2Pt. The X-ray diffraction stick pattern is theoretical, not measured: it uses DFT lattice parameters and positions (PBE) and λ = 1.5418 Å (Cu Kα).
Kinematic intensities with the Lorentz-polarization factor, no thermal factor.

Largest 10 diffraction maxima, in order of rising 2θ, 2θ from 15° to 90°:
2θ/deg, I_rel
20.00, 12
38.10, 100
38.97, 94
40.65, 42
46.76, 55
63.66, 43
72.28, 15
72.85, 15
80.42, 23
82.06, 22

Structure:
Cell: 5.199 5.199 2.790 Å, 90.00 90.00 117.24°
Fractional positions:
In: 0.000 0.000 0.000
Mo: 0.000 0.500 0.500
Mo: 0.500 0.000 0.500
Pt: 0.500 0.500 0.000

=====

Diffraction record for Li3Mg3Hg. The X-ray diffraction stick pattern is theoretical, not measured: it uses DFT lattice parameters and positions (PBE) and λ = 1.5418 Å (Cu Kα).
Kinematic intensities with the Lorentz-polarization factor, no thermal factor.

Largest 10 diffraction maxima, in order of rising 2θ, 2θ from 15° to 90°:
2θ/deg, I_rel
22.01, 100
25.44, 11
31.32, 16
33.87, 12
38.60, 57
42.92, 13
44.88, 12
50.52, 21
60.62, 17
66.95, 9

Structure:
Cell: 8.085 8.085 4.938 Å, 90.00 90.00 120.00°
Fractional positions:
Li: 0.102 0.490 0.250
Li: 0.388 0.898 0.250
Li: 0.490 0.388 0.750
Li: 0.510 0.612 0.250
Li: 0.612 0.102 0.750
Li: 0.898 0.510 0.750
Mg: 0.071 0.257 0.750
Mg: 0.186 0.929 0.750
Mg: 0.257 0.186 0.250
Mg: 0.743 0.814 0.750
Mg: 0.814 0.071 0.250
Mg: 0.929 0.743 0.250
Hg: 0.333 0.667 0.750
Hg: 0.667 0.333 0.250

=====

Diffraction record for DyEr3Pt. The X-ray diffraction stick pattern is theoretical, not measured: it uses DFT lattice parameters and positions (PBE) and λ = 1.5418 Å (Cu Kα).
Kinematic intensities with the Lorentz-polarization factor, no thermal factor.

Largest 10 diffraction maxima, in order of rising 2θ, 2θ from 15° to 90°:
2θ/deg, I_rel
29.42, 39
31.89, 100
32.55, 41
33.44, 54
33.95, 58
35.41, 71
36.15, 21
48.86, 29
50.60, 19
63.27, 20

Structure:
Cell: 6.364 5.070 8.695 Å, 90.00 97.23 90.00°
Fractional positions:
Dy: 0.110 0.250 0.287
Dy: 0.890 0.750 0.713
Er: 0.228 0.250 0.738
Er: 0.286 0.750 0.058
Er: 0.326 0.750 0.480
Er: 0.674 0.250 0.520
Er: 0.714 0.250 0.942
Er: 0.772 0.750 0.262
Pt: 0.468 0.750 0.789
Pt: 0.532 0.250 0.211

=====

- Which formula does entry 3 have?
  Li3Mg3Hg

=====

- Number 3 is which compound?
  Li3Mg3Hg